[1]
Ac2DyMg16: theoretical powder XRD pattern (Cu Ka), based on a structure optimized by DFT (PBE).

Top 12 peaks for 10 to 90 degrees two-theta, low angle first:
hkl 1 1 0, 5.279 Å, I = 100; hkl 1 1 3, 3.691 Å, I = 67; hkl 1 0 4, 3.565 Å, I = 26; hkl 3 0 0, 3.048 Å, I = 56; hkl 0 2 4, 2.954 Å, I = 27; hkl 2 2 0, 2.640 Å, I = 52; hkl 0 3 3, 2.625 Å, I = 61; hkl 0 0 6, 2.579 Å, I = 38; hkl 4 1 0, 1.995 Å, I = 23; hkl 4 1 3, 1.862 Å, I = 34; hkl 3 2 4, 1.845 Å, I = 22; hkl 6 0 0, 1.523 Å, I = 20

```
data_Ac2DyMg16
_cell_length_a 10.5583
_cell_length_b 10.5583
_cell_length_c 15.4853
_cell_angle_alpha 90.00
_cell_angle_beta 90.00
_cell_angle_gamma 120.00
_symmetry_space_group_name_H-M 'R 3 m'
_symmetry_Int_Tables_number 160
_symmetry_space_group_name_Hall 'R 3 -2"'
loop_
_atom_site_label
_atom_site_type_symbol
_atom_site_fract_x
_atom_site_fract_y
_atom_site_fract_z
Ac1 Ac 0.0000 0.0000 0.0000
Ac2 Ac 0.0000 0.0000 0.3251
Dy1 Dy 0.0000 0.0000 0.5660
Mg1 Mg 0.0000 0.0000 0.7705
Mg2 Mg 0.0009 0.2970 0.6589
Mg3 Mg 0.0023 0.5011 0.8095
Mg4 Mg 0.1687 0.3373 0.4922
Mg5 Mg 0.1705 0.3410 0.8399
```


[2]
Tb8CeEr2: theoretical powder XRD pattern (Cu Ka), based on a structure optimized by DFT (PBE).

Top 9 peaks for 10 to 90 degrees two-theta, low angle first:
hkl 1 1 2, 2.898 Å, I = 100; hkl 6 0 1, 2.509 Å, I = 51; hkl 6 2 1, 1.774 Å, I = 36; hkl 11 1 0, 1.513 Å, I = 43; hkl 2 2 4, 1.449 Å, I = 12; hkl 12 0 2, 1.255 Å, I = 2; hkl 0 4 0, 1.254 Å, I = 4; hkl 11 3 0, 1.151 Å, I = 18; hkl 6 4 1, 1.122 Å, I = 17

```
data_Tb8CeEr2
_cell_length_a 18.104
_cell_length_b 5.017
_cell_length_c 7.934
_cell_angle_alpha 90.00
_cell_angle_beta 105.24
_cell_angle_gamma 90.00
_symmetry_space_group_name_H-M 'C 1 2/m 1'
_symmetry_Int_Tables_number 12
_symmetry_space_group_name_Hall '-C 2y'
loop_
_atom_site_label
_atom_site_type_symbol
_atom_site_fract_x
_atom_site_fract_y
_atom_site_fract_z
Tb1 Tb 0.045 0.000 0.231
Tb2 Tb 0.091 0.500 0.955
Tb3 Tb 0.136 0.000 0.682
Tb4 Tb 0.181 0.500 0.409
Ce1 Ce 0.000 0.500 0.500
Er1 Er 0.228 0.000 0.137
```


[3]
NaNi6Ge4: theoretical powder XRD pattern (Cu Ka), based on a structure optimized by DFT (PBE).

Top 12 peaks for 10 to 90 degrees two-theta, low angle first:
hkl 1 0 0, 5.974 Å, I = 43; hkl 1 1 1, 2.510 Å, I = 26; hkl 2 0 1, 2.314 Å, I = 87; hkl 2 1 0, 2.258 Å, I = 29; hkl 3 0 0, 1.991 Å, I = 15; hkl 2 1 1, 1.921 Å, I = 100; hkl 0 0 2, 1.830 Å, I = 32; hkl 3 0 1, 1.749 Å, I = 19; hkl 2 2 0, 1.724 Å, I = 31; hkl 2 1 2, 1.421 Å, I = 12; hkl 2 2 2, 1.255 Å, I = 21; hkl 5 0 1, 1.136 Å, I = 22

```
data_NaNi6Ge4
_cell_length_a 6.8977
_cell_length_b 6.8977
_cell_length_c 3.6592
_cell_angle_alpha 90.00
_cell_angle_beta 90.00
_cell_angle_gamma 120.00
_symmetry_space_group_name_H-M 'P -6 m 2'
_symmetry_Int_Tables_number 187
_symmetry_space_group_name_Hall 'P -6 2'
loop_
_atom_site_label
_atom_site_type_symbol
_atom_site_fract_x
_atom_site_fract_y
_atom_site_fract_z
Na1 Na 0.0000 0.0000 0.0000
Ni1 Ni 0.2059 0.4118 0.5000
Ni2 Ni 0.5365 0.0731 0.0000
Ge1 Ge 0.3333 0.6667 0.0000
Ge2 Ge 0.3757 0.1878 0.5000
```


[4]
TiBeAl: theoretical powder XRD pattern (Cu Ka), based on a structure optimized by DFT (PBE).

Top 12 peaks for 10 to 90 degrees two-theta, low angle first:
hkl 1 0 0, 3.479 Å, I = 50; hkl 1 0 1, 2.253 Å, I = 100; hkl 1 1 0, 2.009 Å, I = 51; hkl 2 0 0, 1.739 Å, I = 6; hkl 2 0 1, 1.499 Å, I = 25; hkl 0 0 2, 1.478 Å, I = 6; hkl 1 0 2, 1.360 Å, I = 5; hkl 2 1 0, 1.315 Å, I = 4; hkl 2 1 1, 1.201 Å, I = 23; hkl 1 1 2, 1.191 Å, I = 17; hkl 3 0 0, 1.160 Å, I = 8; hkl 2 0 2, 1.126 Å, I = 2

```
data_TiBeAl
_cell_length_a 4.0170
_cell_length_b 4.0170
_cell_length_c 2.9563
_cell_angle_alpha 90.00
_cell_angle_beta 90.00
_cell_angle_gamma 120.00
_symmetry_space_group_name_H-M 'P -6 m 2'
_symmetry_Int_Tables_number 187
_symmetry_space_group_name_Hall 'P -6 2'
loop_
_atom_site_label
_atom_site_type_symbol
_atom_site_fract_x
_atom_site_fract_y
_atom_site_fract_z
Ti1 Ti 0.0000 0.0000 0.0000
Be1 Be 0.6667 0.3333 0.5000
Al1 Al 0.3333 0.6667 0.5000
```


[5]
Tb5Pr4Cd: theoretical powder XRD pattern (Cu Ka), based on a structure optimized by DFT (PBE).

Top 12 peaks for 10 to 90 degrees two-theta, low angle first:
hkl 3 0 1, 3.066 Å, I = 100; hkl 0 0 2, 2.913 Å, I = 15; hkl 3 2 1, 2.667 Å, I = 9; hkl 2 0 2, 2.565 Å, I = 15; hkl 3 3 0, 2.550 Å, I = 41; hkl 3 1 2, 2.218 Å, I = 8; hkl 5 0 1, 2.028 Å, I = 7; hkl 3 3 2, 1.919 Å, I = 15; hkl 6 0 0, 1.803 Å, I = 14; hkl 3 0 3, 1.710 Å, I = 15; hkl 5 3 2, 1.565 Å, I = 11; hkl 6 3 1, 1.554 Å, I = 19

```
data_Tb5Pr4Cd
_cell_length_a 10.818
_cell_length_b 10.818
_cell_length_c 5.826
_cell_angle_alpha 90.00
_cell_angle_beta 90.00
_cell_angle_gamma 90.00
_symmetry_space_group_name_H-M 'I 4 m m'
_symmetry_Int_Tables_number 107
_symmetry_space_group_name_Hall 'I 4 -2'
loop_
_atom_site_label
_atom_site_type_symbol
_atom_site_fract_x
_atom_site_fract_y
_atom_site_fract_z
Tb1 Tb 0.000 0.000 0.000
Tb2 Tb 0.183 0.183 0.302
Pr1 Pr 0.000 0.316 0.814
Cd1 Cd 0.000 0.000 0.519
```


[6]
Tb3Nd5: theoretical powder XRD pattern (Cu Ka), based on a structure optimized by DFT (PBE).

Top 12 peaks for 10 to 90 degrees two-theta, low angle first:
hkl 1 1 2, 2.968 Å, I = 100; hkl 0 2 0, 2.574 Å, I = 34; hkl 2 0 0, 2.563 Å, I = 17; hkl 0 2 4, 1.820 Å, I = 12; hkl 2 2 0, 1.816 Å, I = 24; hkl 1 3 2, 1.551 Å, I = 29; hkl 3 1 2, 1.547 Å, I = 14; hkl 2 2 4, 1.484 Å, I = 12; hkl 1 3 6, 1.181 Å, I = 6; hkl 3 3 2, 1.179 Å, I = 12; hkl 2 4 0, 1.151 Å, I = 8; hkl 4 2 0, 1.147 Å, I = 5

```
data_Tb3Nd5
_cell_length_a 5.125
_cell_length_b 5.149
_cell_length_c 10.292
_cell_angle_alpha 90.00
_cell_angle_beta 90.00
_cell_angle_gamma 90.00
_symmetry_space_group_name_H-M 'P m m m'
_symmetry_Int_Tables_number 47
_symmetry_space_group_name_Hall '-P 2 2'
loop_
_atom_site_label
_atom_site_type_symbol
_atom_site_fract_x
_atom_site_fract_y
_atom_site_fract_z
Tb1 Tb 0.000 0.000 0.000
Tb2 Tb 0.000 0.500 0.248
Nd1 Nd 0.000 0.000 0.500
Nd2 Nd 0.500 0.000 0.248
Nd3 Nd 0.500 0.500 0.000
Nd4 Nd 0.500 0.500 0.500
```


[7]
Tl2PbCl8: theoretical powder XRD pattern (Cu Ka), based on a structure optimized by DFT (PBE).

Top 12 peaks for 10 to 90 degrees two-theta, low angle first:
hkl 1 1 0, 7.767 Å, I = 44; hkl 2 0 0, 6.640 Å, I = 73; hkl 1 1 1, 5.105 Å, I = 75; hkl 1 1 -2, 5.035 Å, I = 54; hkl 3 1 -1, 4.948 Å, I = 100; hkl 3 1 -2, 4.885 Å, I = 31; hkl 3 1 -3, 3.918 Å, I = 48; hkl 2 2 -2, 3.843 Å, I = 93; hkl 2 0 -4, 2.960 Å, I = 34; hkl 4 2 0, 2.728 Å, I = 36; hkl 3 3 -4, 2.250 Å, I = 33; hkl 6 2 0, 2.010 Å, I = 41

```
data_Tl2PbCl8
_cell_length_a 18.033
_cell_length_b 9.576
_cell_length_c 12.901
_cell_angle_alpha 90.00
_cell_angle_beta 132.57
_cell_angle_gamma 90.00
_symmetry_space_group_name_H-M 'C 1 2/c 1'
_symmetry_Int_Tables_number 15
_symmetry_space_group_name_Hall '-C 2yc'
loop_
_atom_site_label
_atom_site_type_symbol
_atom_site_fract_x
_atom_site_fract_y
_atom_site_fract_z
Tl1 Tl 0.095 0.226 0.047
Pb1 Pb 0.000 0.493 0.250
Cl1 Cl 0.078 0.311 0.673
Cl2 Cl 0.116 0.263 0.257
Cl3 Cl 0.132 0.007 0.526
Cl4 Cl 0.181 0.426 0.037
```


[8]
Er2TlIn9: theoretical powder XRD pattern (Cu Ka), based on a structure optimized by DFT (PBE).

Top 12 peaks for 10 to 90 degrees two-theta, low angle first:
hkl 1 0 0, 4.639 Å, I = 2; hkl 1 0 3, 3.345 Å, I = 2; hkl 1 1 3, 2.713 Å, I = 100; hkl 0 0 6, 2.414 Å, I = 17; hkl 2 0 0, 2.320 Å, I = 33; hkl 2 0 6, 1.672 Å, I = 22; hkl 2 2 0, 1.640 Å, I = 11; hkl 1 1 9, 1.445 Å, I = 12; hkl 3 1 3, 1.404 Å, I = 25; hkl 2 2 6, 1.357 Å, I = 11; hkl 0 0 12, 1.207 Å, I = 1; hkl 4 0 0, 1.160 Å, I = 4

```
data_Er2TlIn9
_cell_length_a 4.639
_cell_length_b 4.639
_cell_length_c 14.483
_cell_angle_alpha 90.00
_cell_angle_beta 90.00
_cell_angle_gamma 90.00
_symmetry_space_group_name_H-M 'P 4/m m m'
_symmetry_Int_Tables_number 123
_symmetry_space_group_name_Hall '-P 4 2'
loop_
_atom_site_label
_atom_site_type_symbol
_atom_site_fract_x
_atom_site_fract_y
_atom_site_fract_z
Er1 Er 0.000 0.000 0.157
Tl1 Tl 0.000 0.000 0.500
In1 In 0.000 0.500 0.000
In2 In 0.000 0.500 0.322
In3 In 0.500 0.500 0.162
In4 In 0.500 0.500 0.500
```


[9]
Na2CuPI: theoretical powder XRD pattern (Cu Ka), based on a structure optimized by DFT (PBE).

Top 12 peaks for 10 to 90 degrees two-theta, low angle first:
hkl 1 1 0, 4.132 Å, I = 70; hkl 1 0 1, 3.375 Å, I = 69; hkl 2 0 0, 2.922 Å, I = 100; hkl 2 1 1, 2.209 Å, I = 43; hkl 2 2 0, 2.066 Å, I = 36; hkl 3 1 0, 1.848 Å, I = 29; hkl 2 0 2, 1.687 Å, I = 37; hkl 3 2 1, 1.509 Å, I = 12; hkl 4 0 0, 1.461 Å, I = 22; hkl 3 3 0, 1.377 Å, I = 14; hkl 4 2 0, 1.307 Å, I = 15; hkl 4 2 2, 1.104 Å, I = 18

```
data_Na2CuPI
_cell_length_a 5.843
_cell_length_b 5.843
_cell_length_c 4.134
_cell_angle_alpha 90.00
_cell_angle_beta 90.00
_cell_angle_gamma 90.00
_symmetry_space_group_name_H-M 'P 4/m m m'
_symmetry_Int_Tables_number 123
_symmetry_space_group_name_Hall '-P 4 2'
loop_
_atom_site_label
_atom_site_type_symbol
_atom_site_fract_x
_atom_site_fract_y
_atom_site_fract_z
Na1 Na 0.000 0.500 0.000
Cu1 Cu 0.000 0.000 0.000
P1 P 0.000 0.000 0.500
I1 I 0.500 0.500 0.500
```


[10]
LaHo2Th: theoretical powder XRD pattern (Cu Ka), based on a structure optimized by DFT (PBE).

Top 12 peaks for 10 to 90 degrees two-theta, low angle first:
hkl 0 0 2, 3.130 Å, I = 10; hkl 1 0 -2, 3.020 Å, I = 40; hkl 4 0 0, 2.881 Å, I = 32; hkl 2 1 1, 2.750 Å, I = 100; hkl 3 0 2, 2.426 Å, I = 23; hkl 5 0 -2, 1.856 Å, I = 9; hkl 0 2 0, 1.810 Å, I = 9; hkl 0 1 3, 1.805 Å, I = 17; hkl 6 1 1, 1.637 Å, I = 22; hkl 4 2 0, 1.533 Å, I = 10; hkl 4 1 -3, 1.530 Å, I = 19; hkl 2 2 -2, 1.511 Å, I = 11

```
data_LaHo2Th
_cell_length_a 11.523
_cell_length_b 3.621
_cell_length_c 6.248
_cell_angle_alpha 90.00
_cell_angle_beta 90.00
_cell_angle_gamma 90.00
_symmetry_space_group_name_H-M 'P 1 2/c 1'
_symmetry_Int_Tables_number 13
_symmetry_space_group_name_Hall '-P 2yc'
loop_
_atom_site_label
_atom_site_type_symbol
_atom_site_fract_x
_atom_site_fract_y
_atom_site_fract_z
La1 La 0.000 0.247 0.250
Ho1 Ho 0.259 0.250 0.584
Th1 Th 0.500 0.250 0.250
```


[11]
Sm4Ho15Th: theoretical powder XRD pattern (Cu Ka), based on a structure optimized by DFT (PBE).

Top 12 peaks for 10 to 90 degrees two-theta, low angle first:
hkl 1 1 5, 2.897 Å, I = 100; hkl 2 0 0, 2.514 Å, I = 34; hkl 0 0 10, 2.499 Å, I = 17; hkl 2 2 0, 1.777 Å, I = 12; hkl 2 0 10, 1.772 Å, I = 24; hkl 3 1 5, 1.515 Å, I = 29; hkl 1 1 15, 1.509 Å, I = 14; hkl 2 2 10, 1.448 Å, I = 12; hkl 3 3 5, 1.153 Å, I = 6; hkl 3 1 15, 1.150 Å, I = 12; hkl 4 2 0, 1.124 Å, I = 6; hkl 4 0 10, 1.123 Å, I = 6

```
data_Sm4Ho15Th
_cell_length_a 5.028
_cell_length_b 5.028
_cell_length_c 24.992
_cell_angle_alpha 90.00
_cell_angle_beta 90.00
_cell_angle_gamma 90.00
_symmetry_space_group_name_H-M 'P 4/m m m'
_symmetry_Int_Tables_number 123
_symmetry_space_group_name_Hall '-P 4 2'
loop_
_atom_site_label
_atom_site_type_symbol
_atom_site_fract_x
_atom_site_fract_y
_atom_site_fract_z
Sm1 Sm 0.000 0.000 0.100
Sm2 Sm 0.000 0.000 0.301
Ho1 Ho 0.000 0.500 0.000
Ho2 Ho 0.000 0.500 0.200
Ho3 Ho 0.000 0.500 0.402
Ho4 Ho 0.500 0.500 0.100
Ho5 Ho 0.500 0.500 0.300
Ho6 Ho 0.500 0.500 0.500
Th1 Th 0.000 0.000 0.500
```


[12]
Ac4Rh6Pb5: theoretical powder XRD pattern (Cu Ka), based on a structure optimized by DFT (PBE).

Top 12 peaks for 10 to 90 degrees two-theta, low angle first:
hkl 1 1 3, 3.337 Å, I = 60; hkl 1 5 1, 2.995 Å, I = 15; hkl 1 1 4, 2.952 Å, I = 47; hkl 1 5 2, 2.860 Å, I = 100; hkl 0 0 6, 2.784 Å, I = 32; hkl 1 5 3, 2.671 Å, I = 40; hkl 0 4 6, 2.483 Å, I = 39; hkl 0 6 5, 2.459 Å, I = 48; hkl 0 10 1, 2.162 Å, I = 20; hkl 2 0 0, 2.126 Å, I = 48; hkl 2 0 6, 1.690 Å, I = 15; hkl 2 6 5, 1.608 Å, I = 18

```
data_Ac4Rh6Pb5
_cell_length_a 4.253
_cell_length_b 21.799
_cell_length_c 16.703
_cell_angle_alpha 90.00
_cell_angle_beta 90.00
_cell_angle_gamma 90.00
_symmetry_space_group_name_H-M 'C m c 21'
_symmetry_Int_Tables_number 36
_symmetry_space_group_name_Hall 'C 2c -2'
loop_
_atom_site_label
_atom_site_type_symbol
_atom_site_fract_x
_atom_site_fract_y
_atom_site_fract_z
Ac1 Ac 0.000 0.003 0.000
Ac2 Ac 0.000 0.066 0.266
Ac3 Ac 0.000 0.123 0.798
Ac4 Ac 0.000 0.183 0.467
Rh1 Rh 0.000 0.115 0.619
Rh2 Rh 0.000 0.215 0.939
Rh3 Rh 0.000 0.275 0.322
Rh4 Rh 0.000 0.409 0.895
Rh5 Rh 0.000 0.417 0.617
Rh6 Rh 0.000 0.470 0.347
Pb1 Pb 0.000 0.167 0.099
Pb2 Pb 0.000 0.301 0.793
Pb3 Pb 0.000 0.303 0.154
Pb4 Pb 0.000 0.367 0.458
Pb5 Pb 0.000 0.462 0.166
```